Theoretical XRD peak list of Nb3CrP6O24 for copper Kα, from a structure optimized by DFT (GGA+U).

Most intense lines, 2θ = 10–80°, in order of rising 2θ:
2theta	Rel. int.
14.1	50
19.8	100
20.2	63
23.6	85
28.5	66
31.6	42

Atomic structure:
a = 8.972 Å, b = 8.972 Å, c = 8.972 Å
α = 58.53°, β = 58.53°, γ = 58.53°
Element x y z (fractional)
Nb (0.000, 0.000, 0.000)
Nb (0.218, 0.218, 0.218)
Nb (0.499, 0.499, 0.499)
Cr (0.717, 0.717, 0.717)
P (0.101, 0.825, 0.400)
P (0.331, 0.610, 0.892)
P (0.400, 0.101, 0.825)
P (0.610, 0.892, 0.331)
P (0.825, 0.400, 0.101)
P (0.892, 0.331, 0.610)
O (0.070, 0.295, 0.440)
O (0.079, 0.856, 0.224)
O (0.142, 0.992, 0.361)
O (0.149, 0.779, 0.921)
O (0.224, 0.079, 0.856)
O (0.280, 0.650, 0.421)
O (0.295, 0.440, 0.070)
O (0.356, 0.579, 0.725)
O (0.361, 0.142, 0.992)
O (0.421, 0.280, 0.650)
O (0.440, 0.070, 0.295)
O (0.495, 0.636, 0.869)
O (0.574, 0.936, 0.799)
O (0.579, 0.725, 0.356)
O (0.636, 0.869, 0.495)
O (0.650, 0.421, 0.280)
O (0.725, 0.356, 0.579)
O (0.779, 0.921, 0.149)
O (0.799, 0.574, 0.936)
O (0.856, 0.224, 0.079)
O (0.869, 0.495, 0.636)
O (0.921, 0.149, 0.779)
O (0.936, 0.799, 0.574)
O (0.992, 0.361, 0.142)